For Pu4Ge16Rh3, a PBE-relaxed structure gives the simulated powder XRD pattern in this record (CuKα).

Principal peaks in the range 10 to 90 degrees two-theta, low angle first:
| h k l | d_spacing | I/Imax |
| --- | --- | --- |
| 1 1 0 | 4.388 | 37 |
| 1 1 3 | 2.847 | 53 |
| 2 0 2 | 2.716 | 37 |
| 2 0 3 | 2.389 | 100 |
| 0 0 5 | 2.245 | 20 |
| 2 2 0 | 2.194 | 69 |
| 3 1 3 | 1.738 | 23 |
| 2 2 5 | 1.569 | 24 |
| 4 0 0 | 1.551 | 22 |
| 4 2 3 | 1.301 | 26 |

Cell and atoms:
```
data_Pu4Ge16Rh3
_cell_length_a 6.2055
_cell_length_b 6.2055
_cell_length_c 11.2266
_cell_angle_alpha 90.00
_cell_angle_beta 90.00
_cell_angle_gamma 90.00
_symmetry_space_group_name_H-M 'P 4/m m m'
_symmetry_Int_Tables_number 123
_symmetry_space_group_name_Hall '-P 4 2'
loop_
_atom_site_label
_atom_site_type_symbol
_atom_site_fract_x
_atom_site_fract_y
_atom_site_fract_z
_atom_site_occupancy
Pu1 Pu 0.0000 0.5000 0.1889 1
Ge1 Ge 0.0000 0.0000 0.2092 1
Ge2 Ge 0.2138 0.2138 0.0000 1
Ge3 Ge 0.2475 0.2475 0.3765 1
Ge4 Ge 0.5000 0.5000 0.2314 1
Rh1 Rh 0.0000 0.5000 0.5000 1
Rh2 Rh 0.5000 0.5000 0.0000 1
```

---

For La2PrDy5Sc, a PBE-relaxed structure gives the simulated powder XRD pattern in this record (CuKα).

Principal peaks in the range 10 to 90 degrees two-theta, low angle first:
| h k l | d_spacing | I/Imax |
| --- | --- | --- |
| 1 3 2 | 3.328 | 25 |
| 0 6 1 | 3.158 | 17 |
| 1 1 3 | 2.950 | 39 |
| 2 0 0 | 2.816 | 45 |
| 1 5 2 | 2.764 | 100 |
| 0 0 4 | 2.637 | 12 |
| 0 6 5 | 1.779 | 12 |
| 3 5 2 | 1.616 | 20 |
| 1 11 3 | 1.545 | 12 |
| 2 6 5 | 1.504 | 13 |

Cell and atoms:
```
data_La2PrDy5Sc
_cell_length_a 5.6327
_cell_length_b 19.8583
_cell_length_c 10.5491
_cell_angle_alpha 90.00
_cell_angle_beta 90.00
_cell_angle_gamma 90.00
_symmetry_space_group_name_H-M 'C m c 21'
_symmetry_Int_Tables_number 36
_symmetry_space_group_name_Hall 'C 2c -2'
loop_
_atom_site_label
_atom_site_type_symbol
_atom_site_fract_x
_atom_site_fract_y
_atom_site_fract_z
_atom_site_occupancy
La1 La 0.0000 0.1146 0.0000 1
La2 La 0.0000 0.1162 0.4196 1
Pr1 Pr 0.0000 0.4122 0.1487 1
Dy1 Dy 0.0000 0.0153 0.7058 1
Dy2 Dy 0.0000 0.2770 0.0081 1
Dy3 Dy 0.0000 0.2951 0.3905 1
Dy4 Dy 0.0000 0.3752 0.7049 1
Dy5 Dy 0.0000 0.4836 0.4279 1
Sc1 Sc 0.0000 0.1990 0.6997 1
```